Simulated powder diffractogram of PrYO2 for a wavelength of 1.5418 Å, from a GGA-PBE-relaxed structure.

Most intense lines, 15 to 90 degrees two-theta, in order of rising 2θ:
Position (°2θ), I/Imax
29.8, 33
31.4, 83
36.0, 100
50.7, 34
52.8, 32
60.0, 16
61.8, 26
65.5, 16
85.7, 14
88.9, 14

Crystal structure
Cell lengths 3.4698, 3.4698, 17.9703 Å; angles 90.00, 90.00, 120.00 degrees
Fractional coordinates of all 12 atoms:
Pr 0.0000 0.0000 0.0000
Pr 0.3333 0.6667 0.6667
Pr 0.6667 0.3333 0.3333
Y 0.0000 0.0000 0.5000
Y 0.3333 0.6667 0.1667
Y 0.6667 0.3333 0.8333
O 0.0000 0.0000 0.2331
O 0.0000 0.0000 0.7669
O 0.3333 0.6667 0.4336
O 0.3333 0.6667 0.8997
O 0.6667 0.3333 0.1003
O 0.6667 0.3333 0.5664

Simulated powder diffractogram of CsMgNbP2O8 for a wavelength of 1.5418 Å, from a GGA-PBE-relaxed structure.

Most intense lines, 15 to 90 degrees two-theta, in order of rising 2θ:
Position (°2θ), I/Imax
19.2, 100
20.3, 64
21.5, 47
27.2, 95
27.4, 81
32.9, 39
34.9, 71
38.3, 23
43.7, 42
43.9, 32

Crystal structure
Cell lengths 5.1542, 5.1542, 9.2419 Å; angles 90.48, 90.48, 63.85 degrees
Fractional coordinates of all 13 atoms:
Cs 0.0000 0.0000 0.0000
Mg 0.3464 0.3464 0.4048
Nb 0.0127 0.0127 0.5371
P 0.3841 0.3841 0.7227
P 0.6477 0.6477 0.3309
O 0.2585 0.2585 0.5975
O 0.2586 0.7158 0.6884
O 0.3110 0.7534 0.3661
O 0.3246 0.3246 0.8740
O 0.6951 0.6951 0.1756
O 0.7158 0.2586 0.6884
O 0.7534 0.3110 0.3661
O 0.7791 0.7791 0.4432

Simulated powder diffractogram of Mg2Co3MoS8 for a wavelength of 1.5418 Å, from a GGA-PBE-relaxed structure.

Most intense lines, 15 to 90 degrees two-theta, in order of rising 2θ:
Position (°2θ), I/Imax
15.3, 100
25.2, 10
29.6, 77
35.8, 88
47.1, 51
51.6, 79
54.2, 18
64.5, 13
72.5, 11
87.0, 10

Crystal structure
Cell lengths 7.0898, 7.0898, 7.0898 Å; angles 59.91, 59.91, 59.91 degrees
Fractional coordinates of all 14 atoms:
Mg 0.1252 0.1252 0.1252
Mg 0.8748 0.8748 0.8748
Co 0.0000 0.5000 0.5000
Co 0.5000 0.0000 0.5000
Co 0.5000 0.5000 0.0000
Mo 0.5000 0.5000 0.5000
S 0.2551 0.2551 0.7043
S 0.2551 0.7043 0.2551
S 0.2696 0.2696 0.2696
S 0.2957 0.7449 0.7449
S 0.7043 0.2551 0.2551
S 0.7304 0.7304 0.7304
S 0.7449 0.2957 0.7449
S 0.7449 0.7449 0.2957

Simulated powder diffractogram of La4Si4I3 for a wavelength of 1.5418 Å, from a GGA-PBE-relaxed structure.

Most intense lines, 15 to 90 degrees two-theta, in order of rising 2θ:
Position (°2θ), I/Imax
22.5, 21
25.2, 40
26.8, 32
27.4, 45
30.2, 45
30.9, 58
33.2, 100
33.7, 40
38.4, 34
42.4, 41

Crystal structure
Cell lengths 12.4959, 12.4959, 12.6780 Å; angles 97.52, 97.52, 19.64 degrees
Fractional coordinates of all 22 atoms:
La 0.0032 0.0032 0.1654
La 0.1380 0.1380 0.7091
La 0.1442 0.1442 0.0233
La 0.4264 0.4264 0.5543
La 0.5736 0.5736 0.4457
La 0.8558 0.8558 0.9767
La 0.8620 0.8620 0.2909
La 0.9968 0.9968 0.8346
Si 0.0233 0.0233 0.5909
Si 0.4043 0.4043 0.1401
Si 0.4497 0.4497 0.9843
Si 0.4574 0.4574 0.3170
Si 0.5426 0.5426 0.6830
Si 0.5503 0.5503 0.0157
Si 0.5957 0.5957 0.8599
Si 0.9767 0.9767 0.4091
I 0.1315 0.1315 0.2881
I 0.2566 0.2566 0.8697
I 0.3002 0.3002 0.4270
I 0.6998 0.6998 0.5730
I 0.7434 0.7434 0.1303
I 0.8685 0.8685 0.7119